Computed powder XRD pattern
Compound: In3Pb5
Radiation: Cu Ka
Structure: the GGA-PBE geometry in Alexandria
Lines closer than 0.1° are merged.

Principal peaks in the range 15° ≤ 2θ ≤ 90°, sorted by position:
- 31.36 deg, d = 2.853 Å, I = 100.0, hkl 1 1 2
- 36.09 deg, d = 2.488 Å, I = 17.3, hkl 0 2 0
- 36.38 deg, d = 2.470 Å, I = 16.9, hkl 2 0 0
- 36.61 deg, d = 2.454 Å, I = 16.6, hkl 0 0 4
- 52.18 deg, d = 1.753 Å, I = 12.2, hkl 2 2 0
- 52.36 deg, d = 1.747 Å, I = 12.0, hkl 0 2 4
- 61.96 deg, d = 1.498 Å, I = 14.6, hkl 1 3 2
- 62.34 deg, d = 1.489 Å, I = 14.3, hkl 3 1 2
- 62.66 deg, d = 1.483 Å, I = 14.0, hkl 1 1 6
- 65.43 deg, d = 1.426 Å, I = 12.4, hkl 2 2 4

Structural model:
```
data_In3Pb5
_chemical_formula_sum 'In3 Pb5'
_symmetry_space_group_name_H-M 'P m m m'
_symmetry_Int_Tables_number 47
_cell_length_a 4.939
_cell_length_b 4.977
_cell_length_c 9.818
_cell_angle_alpha 90.00
_cell_angle_beta 90.00
_cell_angle_gamma 90.00
loop_
_symmetry_equiv_pos_as_xyz
'x,y,z'
'-x,-y,-z'
'-x,-y,z'
'x,y,-z'
'x,-y,-z'
'-x,y,z'
'-x,y,-z'
'x,-y,z'
loop_
_atom_site_label
_atom_site_type_symbol
_atom_site_fract_x
_atom_site_fract_y
_atom_site_fract_z
In1 In 0.000 0.000 0.000
In2 In 0.500 0.000 0.246
Pb1 Pb 0.000 0.000 0.500
Pb2 Pb 0.000 0.500 0.246
Pb3 Pb 0.500 0.500 0.000
Pb4 Pb 0.500 0.500 0.500
```